[1]
Cs4Ac3AgO8: theoretical powder diffractogram (a wavelength of 1.5418 Å), based on a crystal structure in Alexandria, relaxed with GGA-PBE.
Neutral-atom scattering factors, no anomalous dispersion.

Structure:
```
16
Lattice="6.9270 -3.7010 0.0000 6.9270 3.7010 0.0000 -3.7361 0.0000 7.0903" Properties=species:S:1:pos:R:3 pbc="T T T"
Cs 0.0000 0.0000 0.0000
Cs 3.4635 1.8505 0.0000
Cs 3.4635 -1.8505 0.0000
Cs 6.9270 0.0000 0.0000
Ac -1.8680 0.0000 3.5451
Ac 1.5954 1.8505 3.5451
Ac 1.5954 -1.8505 3.5451
Ag 5.0589 0.0000 3.5451
O 0.3470 0.0000 4.7737
O 1.9607 0.0000 1.9773
O 4.0456 1.5653 4.5899
O 6.0722 1.5653 2.5004
O 4.0456 -1.5653 4.5899
O 6.0722 -1.5653 2.5004
O 8.1571 0.0000 5.1129
O 9.7709 0.0000 2.3166
```

Largest 12 diffraction maxima, low angle first, 2θ from 10° to 90°:
d/Å	two_theta	intensity
7.090	12.5	15
3.545	25.1	48
3.165	28.2	100
3.064	29.1	42
2.709	33.1	61
2.122	42.6	28
1.988	45.6	11
1.948	46.6	23
1.789	51.1	16
1.735	52.8	14
1.636	56.2	11
1.584	58.2	11


[2]
CsAcAgS3: theoretical powder diffractogram (a wavelength of 1.5418 Å), based on a crystal structure in Alexandria, relaxed with GGA-PBE.
Neutral-atom scattering factors, no anomalous dispersion.

Structure:
```
12
Lattice="2.2410 -7.4393 0.0000 2.2410 7.4393 0.0000 0.0000 0.0000 11.7100" Properties=species:S:1:pos:R:3 pbc="T T T"
Cs 2.2410 3.9053 8.7825
Cs 2.2410 -3.9053 2.9275
Ac 2.2410 0.0000 0.0000
Ac 2.2410 0.0000 5.8550
Ag 2.2410 6.7193 2.9275
Ag 2.2410 -6.7193 8.7825
S 2.2410 5.5987 0.6925
S 2.2410 5.5987 5.1625
S 2.2410 0.5955 2.9275
S 2.2410 -0.5955 8.7825
S 2.2410 -5.5987 6.5474
S 2.2410 -5.5987 11.0175
```

Largest 12 diffraction maxima, low angle first, 2θ from 10° to 90°:
d/Å	two_theta	intensity
7.439	11.9	94
4.601	19.3	69
3.720	23.9	46
3.461	25.7	100
3.325	26.8	40
3.199	27.9	76
2.927	30.5	57
2.891	30.9	77
2.300	39.2	36
2.283	39.5	70
1.778	51.4	50
1.605	57.4	41


[3]
AcCuAg: theoretical powder diffractogram (a wavelength of 1.5418 Å), based on a crystal structure in Alexandria, relaxed with GGA-PBE.
Neutral-atom scattering factors, no anomalous dispersion.

Structure:
```
12
Lattice="17.2415 0.0000 0.0000 0.0000 4.3633 0.0000 -0.9977 0.0000 4.0893" Properties=species:S:1:pos:R:3 pbc="T T T"
Ac 1.6141 0.0000 1.4920
Ac 6.0090 2.1816 2.5973
Ac 10.2348 2.1816 1.4920
Ac 14.6297 0.0000 2.5973
Cu -0.1185 2.1816 3.2201
Cu 7.7416 0.0000 0.8691
Cu 8.5022 0.0000 3.2201
Cu 16.3624 2.1816 0.8691
Ag 2.4913 2.1816 3.8754
Ag 5.1318 0.0000 0.2138
Ag 11.1120 0.0000 3.8754
Ag 13.7526 2.1816 0.2138
```

Largest 12 diffraction maxima, low angle first, 2θ from 10° to 90°:
d/Å	two_theta	intensity
4.188	21.2	25
3.373	26.4	31
3.349	26.6	30
2.854	31.3	100
2.844	31.5	99
2.657	33.7	91
2.182	41.4	38
2.105	43.0	34
2.087	43.4	24
2.074	43.6	24
1.654	55.5	22
1.515	61.2	23


[4]
Ac2Cu9Ag: theoretical powder diffractogram (a wavelength of 1.5418 Å), based on a crystal structure in Alexandria, relaxed with GGA-PBE.
Neutral-atom scattering factors, no anomalous dispersion.

Structure:
```
12
Lattice="2.6312 1.5191 8.5497 -2.6312 1.5191 8.5497 0.0000 -3.0383 8.5497" Properties=species:S:1:pos:R:3 pbc="T T T"
Ac 0.0000 0.0000 3.3781
Ac 0.0000 0.0000 22.2711
Cu -1.3097 -0.7562 10.5051
Cu 0.0000 0.0000 8.5290
Cu 0.0000 -1.5123 15.1441
Cu -1.3097 0.7562 15.1441
Cu 0.0000 0.0000 12.8246
Cu 1.3097 -0.7562 10.5051
Cu 0.0000 1.5123 10.5051
Cu 0.0000 0.0000 17.1202
Cu 1.3097 0.7562 15.1441
Ag 0.0000 0.0000 0.0000
```

Largest 12 diffraction maxima, low angle first, 2θ from 10° to 90°:
d/Å	two_theta	intensity
3.715	24.0	39
2.855	31.3	71
2.631	34.1	84
2.622	34.2	85
2.270	39.7	58
2.241	40.2	100
2.147	42.1	26
2.082	43.5	36
2.076	43.6	30
1.933	47.0	29
1.518	61.0	48
1.316	71.7	32


[5]
Ac2Cu3Ag2: theoretical powder diffractogram (a wavelength of 1.5418 Å), based on a crystal structure in Alexandria, relaxed with GGA-PBE.
Neutral-atom scattering factors, no anomalous dispersion.

Structure:
```
14
Lattice="10.8934 0.0000 0.0000 0.0000 4.5561 0.0000 -1.9598 0.0000 6.6912" Properties=species:S:1:pos:R:3 pbc="T T T"
Ac 1.4304 0.0000 1.4499
Ac 2.0565 2.2780 5.2413
Ac 6.8771 2.2780 1.4499
Ac 7.5032 0.0000 5.2413
Cu -0.9799 2.2780 3.3456
Cu -1.1275 2.2780 5.8055
Cu 4.6144 0.0000 0.8857
Cu 4.4668 0.0000 3.3456
Cu 4.3192 0.0000 5.8055
Cu 10.0611 2.2780 0.8857
Ag -0.2060 0.0000 4.6012
Ag 3.6929 2.2780 2.0899
Ag 5.2407 2.2780 4.6012
Ag 9.1396 0.0000 2.0899
```

Largest 12 diffraction maxima, low angle first, 2θ from 10° to 90°:
d/Å	two_theta	intensity
3.737	23.8	26
3.377	26.4	39
3.346	26.6	45
3.265	27.3	35
2.768	32.3	100
2.706	33.1	37
2.479	36.2	73
2.414	37.3	65
2.278	39.6	48
2.231	40.4	23
1.882	48.4	32
1.742	52.5	35


[6]
AcCu5Ag: theoretical powder diffractogram (a wavelength of 1.5418 Å), based on a crystal structure in Alexandria, relaxed with GGA-PBE.
Neutral-atom scattering factors, no anomalous dispersion.

Structure:
```
28
Lattice="8.5256 0.0000 0.0000 0.0000 5.2211 0.0000 0.0000 0.0000 10.6003" Properties=species:S:1:pos:R:3 pbc="T T T"
Ac 2.0369 1.3053 0.6684
Ac 2.2259 3.9158 5.9685
Ac 6.2997 1.3053 4.6317
Ac 6.4887 3.9158 9.9319
Cu 0.4608 3.9158 1.2187
Cu 0.5591 5.2188 3.3346
Cu 0.5591 2.6129 3.3346
Cu 0.7215 1.3053 5.4621
Cu 1.5726 1.3053 7.8928
Cu 2.6902 3.9158 2.5926
Cu 3.5413 3.9158 0.1620
Cu 3.7037 0.0024 8.6347
Cu 3.7037 2.6082 8.6347
Cu 3.8020 1.3053 6.5188
Cu 4.7236 3.9158 4.0815
Cu 4.8219 5.2188 1.9655
Cu 4.8219 2.6129 1.9655
Cu 4.9843 1.3053 10.4383
Cu 5.8354 1.3053 8.0076
Cu 6.9530 3.9158 2.7075
Cu 7.8041 3.9158 5.1382
Cu 7.9665 0.0024 7.2657
Cu 7.9665 2.6082 7.2657
Cu 8.0648 1.3053 9.3816
Ag 1.2267 3.9158 9.1519
Ag 3.0361 1.3053 3.8518
Ag 5.4895 3.9158 6.7485
Ag 7.2989 1.3053 1.4484
```

Largest 12 diffraction maxima, low angle first, 2θ from 10° to 90°:
d/Å	two_theta	intensity
4.105	21.6	24
2.926	30.5	43
2.768	32.3	23
2.611	34.4	39
2.531	35.5	43
2.430	37.0	100
2.413	37.3	78
2.258	39.9	33
2.226	40.5	27
2.067	43.8	31
2.039	44.4	35
1.378	68.0	29


[7]
AcCu2Ag10: theoretical powder diffractogram (a wavelength of 1.5418 Å), based on a crystal structure in Alexandria, relaxed with GGA-PBE.
Neutral-atom scattering factors, no anomalous dispersion.

Structure:
```
13
Lattice="0.0000 6.7273 6.7685 2.7302 0.0000 6.7685 2.7302 6.7273 0.0000" Properties=species:S:1:pos:R:3 pbc="T T T"
Ac 0.0000 0.0000 0.0000
Cu 1.3651 0.0000 3.3842
Cu 1.3651 6.7273 3.3842
Ag 1.3651 3.3636 0.0000
Ag 2.7302 4.4233 2.4338
Ag 2.7302 5.2814 5.1990
Ag 2.7302 9.0312 2.4338
Ag 2.7302 8.1731 5.1990
Ag 1.3651 3.3636 6.7685
Ag 2.7302 5.2814 8.3380
Ag 2.7302 4.4233 11.1031
Ag 2.7302 8.1731 8.3380
Ag 2.7302 9.0312 11.1031
```

Largest 12 diffraction maxima, low angle first, 2θ from 10° to 90°:
d/Å	two_theta	intensity
3.364	26.5	19
3.012	29.7	13
2.749	32.6	43
2.730	32.8	21
2.386	37.7	100
2.376	37.9	44
2.370	38.0	55
2.127	42.5	29
2.120	42.7	18
1.501	61.8	11
1.374	68.3	32
1.185	81.2	10


[8]
Ac3CuAg3: theoretical powder diffractogram (a wavelength of 1.5418 Å), based on a crystal structure in Alexandria, relaxed with GGA-PBE.
Neutral-atom scattering factors, no anomalous dispersion.

Structure:
```
14
Lattice="4.2020 0.0000 0.0000 0.0000 4.7975 0.0000 0.0000 0.0000 20.3982" Properties=species:S:1:pos:R:3 pbc="T T T"
Ac 0.0000 0.0000 0.0000
Ac 0.0000 0.0000 7.5101
Ac 0.0000 2.3988 3.8750
Ac 2.1010 0.0000 14.0741
Ac 2.1010 2.3988 10.1991
Ac 2.1010 2.3988 17.7092
Cu 0.0000 2.3988 15.3727
Cu 2.1010 0.0000 5.1736
Ag 0.0000 0.0000 11.1373
Ag 0.0000 0.0000 16.7563
Ag 0.0000 2.3988 12.7665
Ag 2.1010 0.0000 2.5674
Ag 2.1010 2.3988 0.9382
Ag 2.1010 2.3988 6.5572
```

Largest 12 diffraction maxima, low angle first, 2θ from 10° to 90°:
d/Å	two_theta	intensity
3.920	22.7	29
3.400	26.2	21
3.019	29.6	100
2.927	30.5	58
2.687	33.3	35
2.491	36.1	32
2.399	37.5	34
2.101	43.1	22
1.855	49.1	31
1.696	54.1	18
1.580	58.4	18
1.385	67.6	18


[9]
AcCu8Ag3: theoretical powder diffractogram (a wavelength of 1.5418 Å), based on a crystal structure in Alexandria, relaxed with GGA-PBE.
Neutral-atom scattering factors, no anomalous dispersion.

Structure:
```
12
Lattice="5.0767 0.0000 0.0000 -2.5383 4.3965 0.0000 0.0000 0.0000 8.5177" Properties=species:S:1:pos:R:3 pbc="T T T"
Ac 0.0000 0.0000 0.0000
Cu 0.0000 1.4682 5.7264
Cu -1.2668 3.6624 5.7264
Cu 0.0000 2.9310 3.7018
Cu 0.0000 2.9310 7.8839
Cu 2.5383 0.0113 1.7336
Cu 1.2790 2.1926 1.7336
Cu 1.2668 3.6624 5.7264
Cu 3.7977 2.1926 1.7336
Ag 0.0000 0.0000 3.3411
Ag 2.5383 1.4655 4.1240
Ag 2.5383 1.4655 6.9939
```

Largest 12 diffraction maxima, low angle first, 2θ from 10° to 90°:
d/Å	two_theta	intensity
3.907	22.8	21
3.059	29.2	33
2.538	35.4	61
2.385	37.7	97
2.198	41.1	17
2.180	41.4	100
2.129	42.5	84
1.434	65.0	38
1.386	67.6	22
1.347	69.9	24
1.269	74.8	25
1.120	87.0	17


[10]
Ac2Cu2Ag: theoretical powder diffractogram (a wavelength of 1.5418 Å), based on a crystal structure in Alexandria, relaxed with GGA-PBE.
Neutral-atom scattering factors, no anomalous dispersion.

Structure:
```
10
Lattice="4.2466 0.0000 0.0000 0.0000 15.0380 0.0000 0.0000 0.0000 4.0862" Properties=species:S:1:pos:R:3 pbc="T T T"
Ac 0.0000 1.9167 0.0000
Ac 0.0000 13.1213 0.0000
Ac 2.1233 5.6023 0.0000
Ac 2.1233 9.4356 0.0000
Cu 0.0000 4.4321 2.0431
Cu 0.0000 10.6059 2.0431
Cu 2.1233 3.0869 2.0431
Cu 2.1233 11.9510 2.0431
Ag 0.0000 7.5190 2.0431
Ag 2.1233 0.0000 2.0431
```

Largest 12 diffraction maxima, low angle first, 2θ from 10° to 90°:
d/Å	two_theta	intensity
4.086	21.7	23
3.759	23.7	16
3.240	27.5	36
2.890	30.9	100
2.767	32.4	80
2.539	35.4	34
2.454	36.6	44
2.123	42.6	24
2.043	44.3	21
1.684	54.5	37
1.570	58.8	22
1.332	70.8	17


[11]
Ac2Cu3Ag: theoretical powder diffractogram (a wavelength of 1.5418 Å), based on a crystal structure in Alexandria, relaxed with GGA-PBE.
Neutral-atom scattering factors, no anomalous dispersion.

Structure:
```
12
Lattice="0.0000 4.5195 7.8171 4.0892 0.0000 7.8171 4.0892 4.5195 0.0000" Properties=species:S:1:pos:R:3 pbc="T T T"
Ac 6.1558 4.5195 7.8171
Ac 2.0446 2.2598 3.9086
Ac 6.1338 6.7793 11.7257
Ac 2.0225 4.5195 7.8171
Cu 4.0892 2.1863 6.5520
Cu 4.0892 4.5195 2.5257
Cu 4.0892 2.1863 9.0822
Cu 4.0892 6.8527 6.5520
Cu 4.0892 4.5195 13.1085
Cu 4.0892 6.8527 9.0822
Ag 4.0892 4.5195 5.2148
Ag 4.0892 4.5195 10.4194
```

Largest 12 diffraction maxima, low angle first, 2θ from 10° to 90°:
d/Å	two_theta	intensity
3.911	22.7	24
2.826	31.7	100
2.258	39.9	43
2.045	44.3	11
1.812	50.4	6
1.764	51.8	25
1.516	61.1	24
1.390	67.4	23
1.304	72.5	5
1.287	73.6	9
1.118	87.2	6
1.099	89.1	9


[12]
Ac2In6CuAg: theoretical powder diffractogram (a wavelength of 1.5418 Å), based on a crystal structure in Alexandria, relaxed with GGA-PBE.
Neutral-atom scattering factors, no anomalous dispersion.

Structure:
```
20
Lattice="3.5220 2.0334 12.7754 -3.5220 2.0334 12.7754 0.0000 -4.0669 12.7754" Properties=species:S:1:pos:R:3 pbc="T T T"
Ac 0.0000 0.0000 4.1419
Ac 0.0000 0.0000 10.7493
Ac 0.0000 0.0000 27.5769
Ac 0.0000 0.0000 34.1844
In -2.0375 -1.1764 17.9666
In 0.0000 -1.8076 14.0736
In -1.5655 0.9038 14.0736
In -1.5655 -0.9038 24.2526
In 0.0000 -2.3527 20.3596
In -2.0375 1.1764 20.3596
In 2.0375 -1.1764 17.9666
In 0.0000 2.3527 17.9666
In 1.5655 0.9038 14.0737
In 1.5655 -0.9038 24.2526
In 0.0000 1.8076 24.2526
In 2.0375 1.1764 20.3596
Cu 0.0000 0.0000 0.0000
Cu 0.0000 0.0000 19.1631
Ag 0.0000 0.0000 16.3536
Ag 0.0000 0.0000 21.9726
```

Largest 12 diffraction maxima, low angle first, 2θ from 10° to 90°:
d/Å	two_theta	intensity
3.522	25.3	46
3.245	27.5	24
3.194	27.9	24
3.084	28.9	37
3.025	29.5	32
2.834	31.6	89
2.665	33.6	100
2.654	33.8	39
2.036	44.5	22
1.822	50.1	29
1.761	51.9	49
1.470	63.3	30


[13]
Ac2In4Cu3Ag: theoretical powder diffractogram (a wavelength of 1.5418 Å), based on a crystal structure in Alexandria, relaxed with GGA-PBE.
Neutral-atom scattering factors, no anomalous dispersion.

Structure:
```
10
Lattice="4.6751 0.0000 0.0000 0.0000 4.6751 0.0000 0.0000 0.0000 10.9193" Properties=species:S:1:pos:R:3 pbc="T T T"
Ac 0.0000 2.3376 2.6628
Ac 2.3376 0.0000 8.2566
In 0.0000 0.0000 5.4597
In 0.0000 2.3376 9.4713
In 2.3376 0.0000 1.4480
In 2.3376 2.3376 5.4597
Cu 0.0000 0.0000 0.0000
Cu 0.0000 2.3376 6.8686
Cu 2.3376 0.0000 4.0507
Ag 2.3376 2.3376 0.0000
```

Largest 12 diffraction maxima, low angle first, 2θ from 10° to 90°:
d/Å	two_theta	intensity
4.298	20.7	10
3.306	27.0	15
2.872	31.1	60
2.828	31.6	100
2.338	38.5	57
1.979	45.9	25
1.813	50.3	31
1.653	55.6	19
1.594	57.8	13
1.510	61.4	21
1.427	65.4	24
1.179	81.7	12